(1)
Structure and simulated powder diffraction line list of BaCrNi2H8 (a DFT-relaxed cell (GGA-PBE, Alexandria); λ = 1.5418 Å (Cu Kα)).
Intensities are scaled so that the largest is 100.

Principal peaks in the range 2θ = 10–90°, by intensity:
2θ/deg, Rel. int.
29.6, 100
38.6, 75
49.4, 61
33.2, 47
22.5, 46
69.7, 24
55.6, 23
82.6, 22
24.1, 18
77.6, 14
60.8, 14
64.3, 14

Crystal structure
```
BaCrNi2H8
1.0
2.3346 1.3479 6.0354
-2.3346 1.3479 6.0354
0.0000 -2.6958 6.0354
Ba Cr Ni H
1 1 2 8
direct
0.0000 0.0000 0.0000 Ba
0.5000 0.5000 0.5000 Cr
0.1939 0.1939 0.1939 Ni
0.8061 0.8061 0.8061 Ni
0.1273 0.4216 0.8298 H
0.1702 0.8727 0.5784 H
0.2829 0.2829 0.2829 H
0.4216 0.8298 0.1273 H
0.5784 0.1702 0.8727 H
0.7171 0.7171 0.7171 H
0.8298 0.1273 0.4216 H
0.8727 0.5784 0.1702 H
```

(2)
Structure and simulated powder diffraction line list of RbScS4 (a DFT-relaxed cell (GGA-PBE, Alexandria); λ = 1.5418 Å (Cu Kα)).
Intensities are scaled so that the largest is 100.

Principal peaks in the range 2θ = 10–90°, by intensity:
2θ/deg, Rel. int.
31.0, 100
50.0, 36
38.2, 27
36.5, 25
24.4, 21
69.0, 19
21.8, 15
32.8, 15
49.9, 11
73.4, 10
41.4, 10
55.0, 8

Crystal structure
```
RbScS4
1.0
5.7689 0.0000 0.0000
0.0000 5.7689 0.0000
0.0000 0.0000 8.1864
Rb Sc S
2 2 8
direct
0.2500 0.2500 0.0000 Rb
0.7500 0.7500 0.0000 Rb
0.2500 0.2500 0.5000 Sc
0.7500 0.7500 0.5000 Sc
0.1207 0.6207 0.3134 S
0.1207 0.8793 0.6866 S
0.3793 0.6207 0.6866 S
0.3793 0.8793 0.3134 S
0.6207 0.1207 0.6866 S
0.6207 0.3793 0.3134 S
0.8793 0.1207 0.3134 S
0.8793 0.3793 0.6866 S
```

(3)
Structure and simulated powder diffraction line list of NbFe3Si (a DFT-relaxed cell (GGA-PBE, Alexandria); λ = 1.5418 Å (Cu Kα)).
Intensities are scaled so that the largest is 100.

Principal peaks in the range 2θ = 10–90°, by intensity:
2θ/deg, Rel. int.
46.8, 100
35.3, 76
44.3, 76
48.1, 64
43.2, 63
42.4, 62
42.6, 52
37.1, 45
34.8, 42
21.7, 24
49.1, 23
78.9, 23

Crystal structure
```
NbFe3Si
1.0
-2.3287 3.2427 4.2633
2.3287 -3.2427 4.2633
2.3287 3.2427 -4.2633
Nb Fe Si
2 6 2
direct
0.2638 0.0138 0.2500 Nb
0.7362 0.9862 0.7500 Nb
0.1846 0.0000 0.6846 Fe
0.1846 0.5000 0.1846 Fe
0.4381 0.6881 0.7500 Fe
0.5619 0.3119 0.2500 Fe
0.8154 0.0000 0.3154 Fe
0.8154 0.5000 0.8154 Fe
0.0000 0.5000 0.5000 Si
0.5000 0.5000 0.0000 Si
```

(4)
Structure and simulated powder diffraction line list of Li5CaAu (a DFT-relaxed cell (GGA-PBE, Alexandria); λ = 1.5418 Å (Cu Kα)).
Intensities are scaled so that the largest is 100.

Principal peaks in the range 2θ = 10–90°, by intensity:
2θ/deg, Rel. int.
24.1, 100
18.6, 43
37.0, 42
36.1, 36
29.2, 25
52.0, 25
22.2, 24
31.7, 23
33.1, 19
59.3, 17
50.1, 14
49.4, 14

Crystal structure
```
Li5CaAu
1.0
3.9977 0.0000 0.0000
0.0000 3.9977 0.0000
0.0000 0.0000 9.5347
Li Ca Au
5 1 1
direct
0.0000 0.0000 0.0000 Li
0.0000 0.5000 0.2015 Li
0.0000 0.5000 0.7985 Li
0.5000 0.0000 0.2015 Li
0.5000 0.0000 0.7985 Li
0.0000 0.0000 0.5000 Ca
0.5000 0.5000 0.0000 Au
```

(5)
Structure and simulated powder diffraction line list of Ba3Zn2Ir4 (a DFT-relaxed cell (GGA-PBE, Alexandria); λ = 1.5418 Å (Cu Kα)).
Intensities are scaled so that the largest is 100.

Principal peaks in the range 2θ = 10–90°, by intensity:
2θ/deg, Rel. int.
16.4, 100
40.1, 80
33.9, 76
40.3, 62
41.0, 57
33.1, 53
57.2, 36
35.7, 36
24.6, 35
30.8, 29
30.4, 29
53.0, 28

Crystal structure
```
Ba3Zn2Ir4
1.0
5.8983 -2.2395 0.0000
5.8983 2.2395 0.0000
-2.2453 0.0000 8.5047
Ba Zn Ir
3 2 4
direct
0.0000 0.0000 0.0000 Ba
0.3715 0.3715 0.6237 Ba
0.6285 0.6285 0.3763 Ba
0.3365 0.3365 0.2266 Zn
0.6635 0.6635 0.7734 Zn
0.0773 0.0773 0.6328 Ir
0.2393 0.2393 0.9244 Ir
0.7607 0.7607 0.0756 Ir
0.9227 0.9227 0.3672 Ir
```

(6)
Structure and simulated powder diffraction line list of Sm4GaRh (a DFT-relaxed cell (GGA-PBE, Alexandria); λ = 1.5418 Å (Cu Kα)).
Intensities are scaled so that the largest is 100.

Principal peaks in the range 2θ = 10–90°, by intensity:
2θ/deg, Rel. int.
34.0, 100
32.0, 48
57.0, 44
37.1, 40
28.4, 31
87.8, 16
58.3, 15
68.1, 14
71.2, 13
86.0, 12
54.8, 12
51.2, 10

Crystal structure
```
Sm4GaRh
1.0
0.0000 6.8530 6.8530
6.8530 0.0000 6.8530
6.8530 6.8530 0.0000
Sm Ga Rh
16 4 4
direct
0.1874 0.1874 0.8126 Sm
0.1874 0.8126 0.1874 Sm
0.1874 0.8126 0.8126 Sm
0.3966 0.3966 0.3966 Sm
0.3966 0.3966 0.8101 Sm
0.3966 0.8101 0.3966 Sm
0.5559 0.5559 0.9441 Sm
0.5559 0.9441 0.5559 Sm
0.5559 0.9441 0.9441 Sm
0.8101 0.3966 0.3966 Sm
0.8126 0.1874 0.1874 Sm
0.8126 0.1874 0.8126 Sm
0.8126 0.8126 0.1874 Sm
0.9441 0.5559 0.5559 Sm
0.9441 0.5559 0.9441 Sm
0.9441 0.9441 0.5559 Sm
0.1703 0.1703 0.1703 Ga
0.1703 0.1703 0.4892 Ga
0.1703 0.4892 0.1703 Ga
0.4892 0.1703 0.1703 Ga
0.1785 0.6072 0.6072 Rh
0.6072 0.1785 0.6072 Rh
0.6072 0.6072 0.1785 Rh
0.6072 0.6072 0.6072 Rh
```

(7)
Structure and simulated powder diffraction line list of La2Pm4Sm2Th (a DFT-relaxed cell (GGA-PBE, Alexandria); λ = 1.5418 Å (Cu Kα)).
Intensities are scaled so that the largest is 100.

Principal peaks in the range 2θ = 10–90°, by intensity:
2θ/deg, Rel. int.
31.1, 100
32.8, 84
30.4, 48
28.1, 38
59.1, 29
49.4, 25
39.2, 18
56.6, 17
53.4, 15
59.2, 15
49.5, 12
59.6, 11

Crystal structure
```
La2Pm4Sm2Th
1.0
9.6033 -1.8407 0.0000
9.6033 1.8407 0.0000
-4.2627 0.0000 8.8098
La Pm Sm Th
2 4 2 1
direct
0.1627 0.1627 0.0001 La
0.8373 0.8373 0.9999 La
0.0174 0.0174 0.3258 Pm
0.3164 0.3164 0.6680 Pm
0.6836 0.6836 0.3320 Pm
0.9826 0.9826 0.6742 Pm
0.3523 0.3523 0.3353 Sm
0.6477 0.6477 0.6647 Sm
0.5000 0.5000 0.0000 Th
```

(8)
Structure and simulated powder diffraction line list of Zn8InN6 (a DFT-relaxed cell (GGA-PBE, Alexandria); λ = 1.5418 Å (Cu Kα)).
Intensities are scaled so that the largest is 100.

Principal peaks in the range 2θ = 10–90°, by intensity:
2θ/deg, Rel. int.
32.8, 100
37.0, 83
35.0, 73
37.2, 70
29.9, 62
51.3, 59
42.6, 34
45.6, 30
71.4, 27
48.9, 21
66.7, 18
46.7, 17

Crystal structure
```
Zn8InN6
1.0
6.1719 0.0000 0.0000
-3.0859 5.3450 0.0000
0.0000 0.0000 11.6763
Zn In N
16 2 12
direct
0.0000 0.2895 0.0000 Zn
0.0000 0.4256 0.3412 Zn
0.0000 0.5744 0.8412 Zn
0.0000 0.7105 0.5000 Zn
0.2895 0.0000 0.0000 Zn
0.2895 0.2895 0.5000 Zn
0.3333 0.6667 0.1410 Zn
0.3333 0.6667 0.6410 Zn
0.4256 0.0000 0.3412 Zn
0.4256 0.4256 0.8412 Zn
0.5744 0.0000 0.8412 Zn
0.5744 0.5744 0.3412 Zn
0.6667 0.3333 0.1410 Zn
0.6667 0.3333 0.6410 Zn
0.7105 0.0000 0.5000 Zn
0.7105 0.7105 0.0000 Zn
0.0000 0.0000 0.2255 In
0.0000 0.0000 0.7255 In
0.0000 0.0000 0.4204 N
0.0000 0.0000 0.9204 N
0.0000 0.3440 0.1731 N
0.0000 0.6560 0.6731 N
0.3333 0.6667 0.4308 N
0.3333 0.6667 0.9308 N
0.3440 0.0000 0.1731 N
0.3440 0.3440 0.6731 N
0.6560 0.0000 0.6731 N
0.6560 0.6560 0.1731 N
0.6667 0.3333 0.4308 N
0.6667 0.3333 0.9308 N
```

(9)
Structure and simulated powder diffraction line list of Tm4Tl2Ga (a DFT-relaxed cell (GGA-PBE, Alexandria); λ = 1.5418 Å (Cu Kα)).
Intensities are scaled so that the largest is 100.

Principal peaks in the range 2θ = 10–90°, by intensity:
2θ/deg, Rel. int.
33.0, 100
29.9, 95
33.6, 63
34.4, 56
35.3, 51
51.2, 49
27.9, 43
42.3, 34
60.4, 29
66.0, 29
43.5, 24
23.3, 23

Crystal structure
```
Tm4Tl2Ga
1.0
8.8084 0.0000 0.0000
0.0000 12.7098 0.0000
0.0000 0.0000 3.5722
Tm Tl Ga
8 4 2
direct
0.1397 0.1984 0.0000 Tm
0.2403 0.9372 0.5000 Tm
0.2597 0.4372 0.5000 Tm
0.3603 0.6984 0.0000 Tm
0.6397 0.3016 0.0000 Tm
0.7403 0.5628 0.5000 Tm
0.7597 0.0628 0.5000 Tm
0.8603 0.8016 0.0000 Tm
0.0722 0.6607 0.5000 Tl
0.4278 0.1607 0.5000 Tl
0.5722 0.8393 0.5000 Tl
0.9278 0.3393 0.5000 Tl
0.0000 0.0000 0.0000 Ga
0.5000 0.5000 0.0000 Ga
```

(10)
Structure and simulated powder diffraction line list of K4CrBr6 (a DFT-relaxed cell (GGA-PBE, Alexandria); λ = 1.5418 Å (Cu Kα)).
Intensities are scaled so that the largest is 100.

Principal peaks in the range 2θ = 10–90°, by intensity:
2θ/deg, Rel. int.
29.5, 100
31.4, 76
13.8, 39
32.9, 32
51.1, 27
39.3, 24
30.9, 21
44.9, 21
34.2, 19
24.1, 17
23.9, 16
13.9, 15

Crystal structure
```
K4CrBr6
1.0
9.0206 0.0000 0.0000
0.0000 9.0206 0.0000
0.0000 0.0000 9.1812
K Cr Br
8 2 12
direct
0.1692 0.3308 0.2500 K
0.1692 0.3308 0.7500 K
0.3308 0.8308 0.2500 K
0.3308 0.8308 0.7500 K
0.6692 0.1692 0.2500 K
0.6692 0.1692 0.7500 K
0.8308 0.6692 0.2500 K
0.8308 0.6692 0.7500 K
0.0000 0.0000 0.0000 Cr
0.5000 0.5000 0.5000 Cr
0.0000 0.0000 0.2777 Br
0.0000 0.0000 0.7223 Br
0.0964 0.7025 0.0000 Br
0.2025 0.5964 0.5000 Br
0.2975 0.0964 0.0000 Br
0.4036 0.2025 0.5000 Br
0.5000 0.5000 0.2223 Br
0.5000 0.5000 0.7777 Br
0.5964 0.7975 0.5000 Br
0.7025 0.9036 0.0000 Br
0.7975 0.4036 0.5000 Br
0.9036 0.2975 0.0000 Br
```

(11)
Structure and simulated powder diffraction line list of LiBe17Cu (a DFT-relaxed cell (GGA-PBE, Alexandria); λ = 1.5418 Å (Cu Kα)).
Intensities are scaled so that the largest is 100.

Principal peaks in the range 2θ = 10–90°, by intensity:
2θ/deg, Rel. int.
16.2, 100
50.1, 61
21.5, 56
34.8, 43
24.5, 33
29.5, 27
38.7, 25
50.8, 23
41.4, 23
43.1, 23
32.8, 23
43.8, 22

Crystal structure
```
LiBe17Cu
1.0
3.6373 2.1000 3.6477
-3.6373 2.1000 3.6477
0.0000 -4.2000 3.6477
Li Be Cu
1 17 1
direct
0.0000 0.0000 0.0000 Li
0.0037 0.0037 0.5000 Be
0.0037 0.5000 0.0037 Be
0.1633 0.6681 0.6681 Be
0.3288 0.3288 0.8204 Be
0.3288 0.8204 0.3288 Be
0.3585 0.6631 0.9741 Be
0.3585 0.9741 0.6631 Be
0.5000 0.0036 0.0037 Be
0.5691 0.5691 0.5691 Be
0.6631 0.3585 0.9741 Be
0.6631 0.9741 0.3585 Be
0.6681 0.1633 0.6681 Be
0.6681 0.6681 0.1633 Be
0.7661 0.7661 0.7661 Be
0.8204 0.3288 0.3288 Be
0.9741 0.3585 0.6631 Be
0.9741 0.6631 0.3585 Be
0.3517 0.3517 0.3517 Cu
```

(12)
Structure and simulated powder diffraction line list of SnS (a DFT-relaxed cell (GGA-PBE, Alexandria); λ = 1.5418 Å (Cu Kα)).
Intensities are scaled so that the largest is 100.

Principal peaks in the range 2θ = 10–90°, by intensity:
2θ/deg, Rel. int.
26.0, 100
29.7, 40
31.3, 30
29.2, 27
50.5, 23
34.6, 20
43.7, 18
30.3, 18
42.2, 18
49.9, 18
46.3, 15
43.0, 12

Crystal structure
```
SnS
1.0
6.0076 0.0000 0.0000
0.0000 6.1126 0.0000
0.0000 0.0000 11.4485
Sn S
8 8
direct
0.2219 0.0067 0.0274 Sn
0.2437 0.4356 0.7271 Sn
0.2563 0.5644 0.2271 Sn
0.2781 0.9933 0.5274 Sn
0.7219 0.4933 0.9726 Sn
0.7437 0.0644 0.2729 Sn
0.7563 0.9356 0.7729 Sn
0.7781 0.5067 0.4726 Sn
0.1584 0.4106 0.9575 S
0.1728 0.1393 0.2524 S
0.3272 0.8607 0.7524 S
0.3416 0.5894 0.4575 S
0.6584 0.0894 0.0425 S
0.6728 0.3607 0.7476 S
0.8272 0.6393 0.2476 S
0.8416 0.9106 0.5425 S
```